The following is a theoretical PXRD pattern of BaInAgP2. It was derived from DFT lattice parameters and positions (GGA-PBE), using λ = 1.5418 Å (Cu Kα).
Peak positions follow from Bragg's law for the DFT cell and can differ from measured ones.

Largest 10 diffraction maxima, sorted by position, 10 to 90 degrees two-theta:
| two_theta | I (rel.) | h k l |
| --- | --- | --- |
| 23.1 | 25 | 1 1 -1 |
| 25.2 | 34 | 2 0 2 |
| 26.9 | 20 | 4 0 0 |
| 28.2 | 38 | 1 1 -2 |
| 28.7 | 100 | 3 1 0 |
| 30.0 | 26 | 4 0 1 |
| 35.4 | 86 | 1 1 -3 |
| 36.5 | 28 | 4 0 -3 |
| 41.4 | 36 | 0 2 0 |
| 41.9 | 24 | 5 1 -2 |

Structural model:
Cell lengths 13.453, 4.365, 9.353 Å; angles 90.00, 99.24, 90.00 degrees
Space group C2/m (No. 12)
One atom of each set of equivalent atoms:
Ba  0.166  0.000  0.184 x4
In  0.055  0.500  0.692 x4
Ag  0.163  0.000  0.565 x4
P  0.126  0.000  0.835 x4
P  0.131  0.500  0.419 x4



The following is a theoretical PXRD pattern of LiYLuOs. It was derived from DFT lattice parameters and positions (GGA-PBE), using λ = 1.5418 Å (Cu Kα).
Peak positions follow from Bragg's law for the DFT cell and can differ from measured ones.

Largest 10 diffraction maxima, sorted by position, 10 to 90 degrees two-theta:
| two_theta | I (rel.) | h k l |
| --- | --- | --- |
| 22.4 | 45 | 1 1 1 |
| 25.9 | 3 | 2 0 0 |
| 37.0 | 100 | 2 2 0 |
| 43.7 | 24 | 3 1 1 |
| 53.4 | 18 | 4 0 0 |
| 58.6 | 10 | 3 3 1 |
| 66.7 | 36 | 4 2 2 |
| 71.4 | 8 | 5 1 1 |
| 78.8 | 11 | 4 4 0 |
| 83.2 | 8 | 5 3 1 |

Structural model:
Cell lengths 6.867, 6.867, 6.867 Å; angles 90.00, 90.00, 90.00 degrees
Space group F-43m (No. 216)
One atom of each set of equivalent atoms:
Li  0.000  0.000  0.000 x4
Y  0.250  0.250  0.250 x4
Lu  0.250  0.250  0.750 x4
Os  0.000  0.000  0.500 x4



The following is a theoretical PXRD pattern of HgPb. It was derived from DFT lattice parameters and positions (GGA-PBE), using λ = 1.5418 Å (Cu Kα).
Peak positions follow from Bragg's law for the DFT cell and can differ from measured ones.

Largest 10 diffraction maxima, sorted by position, 10 to 90 degrees two-theta:
| two_theta | I (rel.) | h k l |
| --- | --- | --- |
| 28.5 | 73 | 0 0 2 |
| 28.8 | 100 | 2 0 0 |
| 32.3 | 59 | 2 1 0 |
| 41.0 | 79 | 2 0 2 |
| 41.2 | 27 | 2 2 0 |
| 43.6 | 52 | 2 1 2 |
| 50.9 | 30 | 2 2 2 |
| 61.7 | 27 | 4 1 0 |
| 67.0 | 19 | 2 0 4 |
| 69.3 | 38 | 4 1 2 |

Structural model:
Cell lengths 6.201, 6.201, 6.256 Å; angles 90.00, 90.00, 90.00 degrees
Space group P4_2/mnm (No. 136)
One atom of each set of equivalent atoms:
Hg  0.203  0.203  0.000 x4
Pb  0.205  0.205  0.500 x4



The following is a theoretical PXRD pattern of GeRhO. It was derived from DFT lattice parameters and positions (GGA-PBE), using λ = 1.5418 Å (Cu Kα).
Peak positions follow from Bragg's law for the DFT cell and can differ from measured ones.

Largest 10 diffraction maxima, sorted by position, 10 to 90 degrees two-theta:
| two_theta | I (rel.) | h k l |
| --- | --- | --- |
| 23.0 | 91 | 0 1 1 |
| 26.3 | 30 | 0 0 2 |
| 28.1 | 39 | 1 1 1 |
| 39.8 | 100 | 2 1 1 |
| 41.9 | 52 | 2 0 2 |
| 44.5 | 39 | 0 1 3 |
| 47.1 | 18 | 0 2 2 |
| 50.0 | 19 | 1 2 2 |
| 50.8 | 20 | 2 2 0 |
| 58.1 | 18 | 2 2 2 |

Structural model:
Cell lengths 5.585, 4.692, 6.785 Å; angles 90.00, 90.00, 90.00 degrees
Space group Ama2 (No. 40)
One atom of each set of equivalent atoms:
Ge  0.250  0.138  0.000 x4
Rh  0.000  0.000  0.311 x4
O  0.250  0.330  0.308 x4